Entry 1:
Structure and simulated X-ray diffraction stick pattern of BaCa2CrF8 (DFT lattice parameters and positions (GGA+U); CuKα).
Lines closer than 0.1° are merged.

Most intense lines, 10 to 80 degrees two-theta, most intense first:
3.390 Å, I = 100; 2.002 Å, I = 95; 3.167 Å, I = 77; 2.120 Å, I = 31; 1.762 Å, I = 26; 1.666 Å, I = 21; 5.642 Å, I = 18; 4.541 Å, I = 17; 1.913 Å, I = 17; 2.537 Å, I = 15

Structural model:
```
data_BaCa2CrF8
_cell_length_a 4.241
_cell_length_b 7.652
_cell_length_c 5.642
_cell_angle_alpha 90.00
_cell_angle_beta 90.11
_cell_angle_gamma 90.00
_symmetry_space_group_name_H-M 'P 1'
_symmetry_Int_Tables_number 1
loop_
_symmetry_equiv_pos_as_xyz
'x,y,z'
loop_
_atom_site_label
_atom_site_type_symbol
_atom_site_fract_x
_atom_site_fract_y
_atom_site_fract_z
Ba1 Ba 0.000 0.000 0.000
Ca1 Ca 0.500 0.271 0.500
Ca2 Ca 0.500 0.729 0.500
Cr1 Cr 0.000 0.500 0.000
F1 F 0.000 0.290 0.253
F2 F 0.000 0.290 0.747
F3 F 0.000 0.710 0.253
F4 F 0.000 0.710 0.747
F5 F 0.499 0.000 0.726
F6 F 0.500 0.500 0.248
F7 F 0.500 0.500 0.752
F8 F 0.501 0.000 0.274
```


Entry 2:
Structure and simulated X-ray diffraction stick pattern of BaCaCrF7 (DFT lattice parameters and positions (GGA+U); CuKα).
Lines closer than 0.1° are merged.

Most intense lines, 10 to 80 degrees two-theta, most intense first:
3.902 Å, I = 100; 3.650 Å, I = 81; 3.223 Å, I = 44; 3.175 Å, I = 42; 2.323 Å, I = 40; 2.104 Å, I = 39; 3.003 Å, I = 36; 2.071 Å, I = 31; 2.128 Å, I = 30; 2.049 Å, I = 29

Structural model:
```
data_BaCaCrF7
_cell_length_a 5.497
_cell_length_b 5.544
_cell_length_c 19.957
_cell_angle_alpha 90.00
_cell_angle_beta 104.03
_cell_angle_gamma 90.00
_symmetry_space_group_name_H-M 'P 1'
_symmetry_Int_Tables_number 1
loop_
_symmetry_equiv_pos_as_xyz
'x,y,z'
loop_
_atom_site_label
_atom_site_type_symbol
_atom_site_fract_x
_atom_site_fract_y
_atom_site_fract_z
Ba1 Ba 0.185 0.246 0.431
Ba2 Ba 0.185 0.754 0.931
Ba3 Ba 0.815 0.246 0.069
Ba4 Ba 0.815 0.754 0.569
Ca1 Ca 0.000 0.328 0.750
Ca2 Ca 0.000 0.672 0.250
Ca3 Ca 0.500 0.208 0.250
Ca4 Ca 0.500 0.792 0.750
Cr1 Cr 0.318 0.224 0.620
Cr2 Cr 0.318 0.776 0.120
Cr3 Cr 0.682 0.224 0.880
Cr4 Cr 0.682 0.776 0.380
F1 F 0.002 0.286 0.944
F2 F 0.002 0.714 0.444
F3 F 0.148 0.024 0.676
F4 F 0.148 0.976 0.176
F5 F 0.236 0.370 0.309
F6 F 0.236 0.630 0.809
F7 F 0.248 0.496 0.675
F8 F 0.248 0.504 0.175
F9 F 0.347 0.054 0.063
F10 F 0.347 0.946 0.563
F11 F 0.373 0.130 0.814
F12 F 0.373 0.870 0.314
F13 F 0.472 0.409 0.561
F14 F 0.472 0.591 0.061
F15 F 0.528 0.409 0.939
F16 F 0.528 0.591 0.439
F17 F 0.627 0.130 0.686
F18 F 0.627 0.870 0.186
F19 F 0.653 0.054 0.437
F20 F 0.653 0.946 0.937
F21 F 0.752 0.496 0.825
F22 F 0.752 0.504 0.325
F23 F 0.764 0.370 0.191
F24 F 0.764 0.630 0.691
F25 F 0.852 0.024 0.824
F26 F 0.852 0.976 0.324
F27 F 0.998 0.286 0.556
F28 F 0.998 0.714 0.056
```


Entry 3:
Structure and simulated X-ray diffraction stick pattern of Ba2Ca2Tl2Cr3O10 (DFT lattice parameters and positions (GGA+U); CuKα).
Lines closer than 0.1° are merged.

Most intense lines, 10 to 80 degrees two-theta, most intense first:
2.809 Å, I = 100; 3.177 Å, I = 90; 2.860 Å, I = 79; 2.778 Å, I = 32; 3.499 Å, I = 32; 2.658 Å, I = 31; 3.198 Å, I = 31; 1.981 Å, I = 30; 2.878 Å, I = 28; 1.992 Å, I = 24

Structural model:
```
data_Ba2Ca2Tl2Cr3O10
_cell_length_a 18.806
_cell_length_b 18.806
_cell_length_c 3.984
_cell_angle_alpha 95.72
_cell_angle_beta 95.72
_cell_angle_gamma 12.09
_symmetry_space_group_name_H-M 'P 1'
_symmetry_Int_Tables_number 1
loop_
_symmetry_equiv_pos_as_xyz
'x,y,z'
loop_
_atom_site_label
_atom_site_type_symbol
_atom_site_fract_x
_atom_site_fract_y
_atom_site_fract_z
Ba1 Ba 0.000 0.000 0.000
Ba2 Ba 0.712 0.712 0.727
Ca1 Ca 0.810 0.810 0.819
Ca2 Ca 0.901 0.901 0.905
Tl1 Tl 0.135 0.135 0.082
Tl2 Tl 0.573 0.573 0.569
Cr1 Cr 0.262 0.262 0.275
Cr2 Cr 0.355 0.355 0.362
Cr3 Cr 0.448 0.448 0.449
O1 O 0.078 0.078 0.193
O2 O 0.210 0.210 0.230
O3 O 0.271 0.271 0.784
O4 O 0.355 0.355 0.862
O5 O 0.439 0.439 0.941
O6 O 0.500 0.500 0.496
O7 O 0.643 0.643 0.825
O8 O 0.772 0.772 0.282
O9 O 0.855 0.855 0.362
O10 O 0.939 0.939 0.440
```